The following is a simulated XRD peak list of Ce2Sm3S8. It was derived from a DFT-relaxed cell (PBE, Alexandria), using Cu Kα X-rays.
No peak broadening, texture or thermal motion is included.

Main lines, in order of falling intensity (2θ from 10° to 90°):
Position (°2θ), Rel. int.
37.43, 100
22.93, 36
22.43, 34
38.16, 26
26.29, 26
36.89, 23
28.78, 17
68.49, 16

```
Ce2Sm3S8
1.0
4.8736 -6.8131 0.0000
4.8736 6.8131 0.0000
0.0000 0.0000 4.7167
Ce Sm S
2 3 8
Direct
0.2352 0.7648 0.0000
0.7648 0.2352 0.0000
0.2169 0.2169 0.5000
0.5000 0.5000 0.0000
0.7831 0.7831 0.5000
0.1283 0.8717 0.5000
0.1342 0.3823 0.0000
0.3797 0.6203 0.5000
0.3823 0.1342 0.0000
0.6177 0.8658 0.0000
0.6203 0.3797 0.5000
0.8658 0.6177 0.0000
0.8717 0.1283 0.5000
```